Record 1
Structure and computed XRD peak list of Ta4Mo4W3 (DFT lattice parameters and positions (GGA-PBE); Cu Kα (weighted mean of Kα1 and Kα2)).
Lines closer than 0.1° are merged.

Principal peaks in the range 2θ from 15° to 90°, by angle:
d (Å)  two_theta  Rel. int.
4.090  21.73  8
2.290  39.35  100
2.262  39.85  97
1.609  57.25  33
1.327  71.03  12
1.311  72.02  34
1.306  72.36  17
1.131  85.94  11

Cell and atoms:
a b c (Å): 14.5724 14.5724 2.8217
angles (deg): 93.61 93.61 17.86
Element x y z (fractional)
Ta 0.0899 0.0899 0.2179
Ta 0.2733 0.2733 0.6972
Ta 0.7267 0.7267 0.3028
Ta 0.9101 0.9101 0.7821
Mo 0.1806 0.1806 0.9456
Mo 0.4550 0.4550 0.1426
Mo 0.5450 0.5450 0.8574
Mo 0.8194 0.8194 0.0544
W 0.0000 0.0000 0.5000
W 0.3646 0.3646 0.3999
W 0.6354 0.6354 0.6001


Record 2
Structure and computed XRD peak list of MgZr2Se5 (DFT lattice parameters and positions (GGA-PBE); Cu Kα (weighted mean of Kα1 and Kα2)).
Lines closer than 0.1° are merged.

Principal peaks in the range 2θ from 15° to 90°, by angle:
d (Å)  two_theta  Rel. int.
2.580  34.78  68
2.541  35.32  64
2.503  35.88  55
2.292  39.31  100
1.956  46.41  28
1.796  50.83  40
1.289  73.44  22
1.146  84.53  27

Cell and atoms:
a b c (Å): 8.7360 7.9394 5.1568
angles (deg): 80.65 63.73 35.62
Element x y z (fractional)
Mg 0.0000 0.0000 0.0000
Zr 0.3196 0.3196 0.6804
Zr 0.6804 0.6804 0.3196
Se 0.0040 0.6776 0.3224
Se 0.3224 0.9960 0.0040
Se 0.5000 0.5000 0.5000
Se 0.6776 0.0040 0.9960
Se 0.9960 0.3224 0.6776


Record 3
Structure and computed XRD peak list of AcSn6Se8 (DFT lattice parameters and positions (GGA-PBE); Cu Kα (weighted mean of Kα1 and Kα2)).
Lines closer than 0.1° are merged.

Principal peaks in the range 2θ from 15° to 90°, by angle:
d (Å)  two_theta  Rel. int.
4.593  19.33  32
3.417  26.08  61
3.139  28.43  100
2.771  32.30  38
2.464  36.46  61
2.323  38.76  36
2.036  44.50  38
1.748  52.32  28

Cell and atoms:
a b c (Å): 7.7325 7.7325 7.7325
angles (deg): 88.32 88.32 88.32
Element x y z (fractional)
Ac 0.0000 0.0000 0.0000
Sn 0.1990 0.3568 0.5928
Sn 0.3568 0.5928 0.1990
Sn 0.4072 0.8010 0.6432
Sn 0.5928 0.1990 0.3568
Sn 0.6432 0.4072 0.8010
Sn 0.8010 0.6432 0.4072
Se 0.1068 0.8009 0.3577
Se 0.1991 0.6423 0.8932
Se 0.2445 0.2445 0.2445
Se 0.3577 0.1068 0.8009
Se 0.6423 0.8932 0.1991
Se 0.7555 0.7555 0.7555
Se 0.8009 0.3577 0.1068
Se 0.8932 0.1991 0.6423


Record 4
Structure and computed XRD peak list of Ca4Hg3Bi2 (DFT lattice parameters and positions (GGA-PBE); Cu Kα (weighted mean of Kα1 and Kα2)).
Lines closer than 0.1° are merged.

Principal peaks in the range 2θ from 15° to 90°, by angle:
d (Å)  two_theta  Rel. int.
4.179  21.26  60
2.929  30.52  100
2.586  34.69  90
1.938  46.88  35
1.931  47.06  22
1.551  59.63  42
1.493  62.18  17
1.183  81.37  18

Cell and atoms:
a b c (Å): 5.1714 5.1714 11.6136
angles (deg): 90.00 90.00 120.00
Element x y z (fractional)
Ca 0.0000 0.0000 0.1539
Ca 0.0000 0.0000 0.8461
Ca 0.3333 0.6667 0.6073
Ca 0.6667 0.3333 0.3927
Hg 0.0000 0.0000 0.5000
Hg 0.3333 0.6667 0.9906
Hg 0.6667 0.3333 0.0094
Bi 0.3333 0.6667 0.2951
Bi 0.6667 0.3333 0.7049


Record 5
Structure and computed XRD peak list of Y3HoC (DFT lattice parameters and positions (GGA-PBE); Cu Kα (weighted mean of Kα1 and Kα2)).
Lines closer than 0.1° are merged.

Principal peaks in the range 2θ from 15° to 90°, by angle:
d (Å)  two_theta  Rel. int.
3.583  24.85  10
2.925  30.56  100
2.533  35.43  56
1.791  50.98  38
1.528  60.62  42
1.463  63.62  13
1.162  83.10  17
1.133  85.76  17

Cell and atoms:
a b c (Å): 5.0666 5.0666 5.0666
angles (deg): 90.00 90.00 90.00
Element x y z (fractional)
Y 0.0000 0.0000 0.5000
Y 0.0000 0.5000 0.0000
Y 0.5000 0.0000 0.0000
Ho 0.5000 0.5000 0.5000
C 0.0000 0.0000 0.0000


Record 6
Structure and computed XRD peak list of La6HgPb (DFT lattice parameters and positions (GGA-PBE); Cu Kα (weighted mean of Kα1 and Kα2)).
Lines closer than 0.1° are merged.

Principal peaks in the range 2θ from 15° to 90°, by angle:
d (Å)  two_theta  Rel. int.
2.915  30.67  100
2.532  35.45  34
2.508  35.80  17
1.791  51.00  12
1.782  51.26  24
1.526  60.70  29
1.515  61.17  14
1.457  63.87  12

Cell and atoms:
a b c (Å): 5.0647 5.0647 10.0333
angles (deg): 90.00 90.00 90.00
Element x y z (fractional)
La 0.0000 0.0000 0.0000
La 0.0000 0.0000 0.5000
La 0.0000 0.5000 0.2481
La 0.0000 0.5000 0.7519
La 0.5000 0.0000 0.2481
La 0.5000 0.0000 0.7519
Hg 0.5000 0.5000 0.0000
Pb 0.5000 0.5000 0.5000


Record 7
Structure and computed XRD peak list of K2Pa3O8 (DFT lattice parameters and positions (GGA-PBE); Cu Kα (weighted mean of Kα1 and Kα2)).
Lines closer than 0.1° are merged.

Principal peaks in the range 2θ from 15° to 90°, by angle:
d (Å)  two_theta  Rel. int.
3.642  24.44  47
3.390  26.29  60
3.194  27.94  65
3.058  29.21  52
2.914  30.68  100
2.843  31.46  50
2.293  39.29  46
1.998  45.40  41

Cell and atoms:
a b c (Å): 7.2991 3.6486 9.6642
angles (deg): 90.00 108.35 90.00
Element x y z (fractional)
K 0.0734 0.0000 0.2926
K 0.9266 0.0000 0.7074
Pa 0.4098 0.5000 0.6504
Pa 0.5000 0.0000 0.0000
Pa 0.5902 0.5000 0.3496
O 0.2347 0.0000 0.6090
O 0.3300 0.5000 0.4103
O 0.3330 0.5000 0.8815
O 0.4105 0.0000 0.1909
O 0.5895 0.0000 0.8091
O 0.6670 0.5000 0.1185
O 0.6700 0.5000 0.5897
O 0.7653 0.0000 0.3910


Record 8
Structure and computed XRD peak list of BaAgSb2Te4 (DFT lattice parameters and positions (GGA-PBE); Cu Kα (weighted mean of Kα1 and Kα2)).
Lines closer than 0.1° are merged.

Principal peaks in the range 2θ from 15° to 90°, by angle:
d (Å)  two_theta  Rel. int.
3.425  26.02  36
3.319  26.86  40
3.114  28.67  100
2.419  37.17  39
2.349  38.32  19
2.226  40.52  27
1.976  45.93  15
1.355  69.35  20

Cell and atoms:
a b c (Å): 7.5523 7.5523 15.6020
angles (deg): 90.00 90.00 142.64
Element x y z (fractional)
Ba 0.1305 0.8695 0.7500
Ba 0.8695 0.1305 0.2500
Ag 0.1380 0.8620 0.2500
Ag 0.8620 0.1380 0.7500
Sb 0.3736 0.6264 0.5537
Sb 0.3736 0.6264 0.9463
Sb 0.6264 0.3736 0.0537
Sb 0.6264 0.3736 0.4463
Te 0.0000 0.0000 0.0000
Te 0.0000 0.0000 0.5000
Te 0.2664 0.7336 0.1076
Te 0.2664 0.7336 0.3924
Te 0.4530 0.5470 0.7500
Te 0.5470 0.4530 0.2500
Te 0.7336 0.2664 0.6076
Te 0.7336 0.2664 0.8924